Simulated PXRD pattern of Rb3Ga2Te4 for Cu Kα X-rays, from a PBE-relaxed structure.
Peak positions follow from Bragg's law for the DFT cell and can differ from measured ones.

Cell lengths 14.9883, 11.9347, 8.7182 Å; angles 90.00, 98.59, 90.00 degrees
Space group C2/c (No. 15)
One atom of each set of equivalent atoms:
Rb 0.0000 0.1071 0.2500 (multiplicity 4)
Rb 0.1388 0.3724 0.6043 (multiplicity 8)
Ga 0.2086 0.1185 0.9335 (multiplicity 8)
Te 0.1168 0.3060 0.0065 (multiplicity 8)
Te 0.1765 0.0576 0.6172 (multiplicity 8)

The 8 most intense peaks (15° ≤ 2θ ≤ 90°), low angle first:
hkl 2 2 -1, 20.85 deg, rel. 53; hkl 3 1 1, 23.28 deg, rel. 58; hkl 2 0 2, 25.43 deg, rel. 90; hkl 4 0 -2, 29.35 deg, rel. 54; hkl 3 3 -1, 29.71 deg, rel. 100; hkl 1 3 -2, 30.56 deg, rel. 83; hkl 5 1 0, 31.09 deg, rel. 71; hkl 1 1 -3, 31.72 deg, rel. 67

***

Simulated PXRD pattern of RbGaTe2 for Cu Kα X-rays, from a PBE-relaxed structure.
Peak positions follow from Bragg's law for the DFT cell and can differ from measured ones.

Cell lengths 7.4234, 11.8528, 7.3042 Å; angles 90.00, 90.00, 90.00 degrees
Space group Pna2_1 (No. 33)
One atom of each set of equivalent atoms:
Rb 0.0130 0.1212 0.0000 (multiplicity 4)
Ga 0.0432 0.3738 0.4253 (multiplicity 4)
Te 0.0165 0.4221 0.0684 (multiplicity 4)
Te 0.1169 0.8192 0.0166 (multiplicity 4)

The 8 most intense peaks (15° ≤ 2θ ≤ 90°), low angle first:
hkl 1 2 1, 22.73 deg, rel. 29; hkl 2 0 0, 23.98 deg, rel. 73; hkl 0 0 2, 24.37 deg, rel. 100; hkl 0 3 1, 25.61 deg, rel. 69; hkl 1 3 1, 28.36 deg, rel. 28; hkl 2 0 2, 34.45 deg, rel. 34; hkl 2 3 1, 35.36 deg, rel. 41; hkl 1 2 3, 41.92 deg, rel. 33

***

Simulated PXRD pattern of Rb4Tl5Ga for Cu Kα X-rays, from a PBE-relaxed structure.
Peak positions follow from Bragg's law for the DFT cell and can differ from measured ones.

Cell lengths 11.0470, 11.0470, 7.2235 Å; angles 90.00, 90.00, 90.00 degrees
Space group I4 (No. 79)
One atom of each set of equivalent atoms:
Rb 0.0733 0.6951 0.0000 (multiplicity 8)
Tl 0.0000 0.0000 0.1883 (multiplicity 2)
Tl 0.0730 0.8063 0.5104 (multiplicity 8)
Ga 0.0000 0.0000 0.7796 (multiplicity 2)

The 8 most intense peaks (15° ≤ 2θ ≤ 90°), low angle first:
hkl 0 0 2, 24.65 deg, rel. 37; hkl 3 1 0, 25.50 deg, rel. 66; hkl 3 0 1, 27.18 deg, rel. 43; hkl 2 3 1, 31.72 deg, rel. 68; hkl 2 2 2, 33.80 deg, rel. 40; hkl 1 3 2, 35.75 deg, rel. 100; hkl 4 3 1, 42.80 deg, rel. 24; hkl 3 6 1, 57.42 deg, rel. 30

***

Simulated PXRD pattern of RbV2Ga for Cu Kα X-rays, from a PBE-relaxed structure.
Peak positions follow from Bragg's law for the DFT cell and can differ from measured ones.

Cell lengths 4.5449, 4.5449, 19.5703 Å; angles 90.00, 90.00, 90.00 degrees
Space group I4_1/amd (No. 141, origin choice 2)
One atom of each set of equivalent atoms:
Rb 0.0000 0.2500 0.3750 (multiplicity 4)
V 0.0000 0.0000 0.0000 (multiplicity 8)
Ga 0.0000 0.2500 0.8750 (multiplicity 4)

The 8 most intense peaks (15° ≤ 2θ ≤ 90°), low angle first:
hkl 1 0 3, 23.86 deg, rel. 24; hkl 1 1 2, 29.25 deg, rel. 100; hkl 0 0 8, 36.74 deg, rel. 36; hkl 1 1 6, 39.36 deg, rel. 44; hkl 2 0 0, 39.66 deg, rel. 22; hkl 2 0 4, 43.93 deg, rel. 32; hkl 2 2 4, 60.66 deg, rel. 31; hkl 3 1 2, 65.66 deg, rel. 19

***

Simulated PXRD pattern of Rb2ZnGa2 for Cu Kα X-rays, from a PBE-relaxed structure.
Peak positions follow from Bragg's law for the DFT cell and can differ from measured ones.

Cell lengths 4.4399, 4.4399, 33.9043 Å; angles 90.00, 90.00, 120.00 degrees
Space group R-3m (No. 166, hexagonal axes)
One atom of each set of equivalent atoms:
Rb 0.0000 0.0000 0.0702 (multiplicity 6)
Zn 0.0000 0.0000 0.5000 (multiplicity 3)
Ga 0.0000 0.0000 0.1889 (multiplicity 6)

The 8 most intense peaks (15° ≤ 2θ ≤ 90°), low angle first:
hkl 1 0 1, 23.28 deg, rel. 38; hkl 0 0 9, 23.62 deg, rel. 34; hkl 1 0 7, 29.67 deg, rel. 100; hkl 0 1 8, 31.41 deg, rel. 50; hkl 1 1 0, 40.64 deg, rel. 67; hkl 1 1 3, 41.45 deg, rel. 22; hkl 1 1 9, 47.55 deg, rel. 32; hkl 1 0 16, 49.09 deg, rel. 29

***

Simulated PXRD pattern of RbZnGa for Cu Kα X-rays, from a PBE-relaxed structure.
Peak positions follow from Bragg's law for the DFT cell and can differ from measured ones.

Cell lengths 4.3956, 4.3956, 5.8423 Å; angles 90.00, 90.00, 120.00 degrees
Space group P-6m2 (No. 187)
One atom of each set of equivalent atoms:
Rb 0.0000 0.0000 0.0000 (multiplicity 1)
Zn 0.6667 0.3333 0.5000 (multiplicity 1)
Ga 0.3333 0.6667 0.5000 (multiplicity 1)

The 8 most intense peaks (15° ≤ 2θ ≤ 90°), low angle first:
hkl 1 0 1, 27.98 deg, rel. 100; hkl 0 0 2, 30.60 deg, rel. 28; hkl 1 1 0, 41.07 deg, rel. 37; hkl 2 0 1, 50.43 deg, rel. 19; hkl 1 1 2, 52.08 deg, rel. 36; hkl 1 0 3, 52.80 deg, rel. 16; hkl 2 1 1, 66.98 deg, rel. 16; hkl 1 1 4, 78.65 deg, rel. 10